Na2Al2P2SO12: computed powder X-ray diffraction pattern (Cu Kα (weighted mean of Kα1 and Kα2)), based on a structure optimized by DFT (GGA-PBE).

Structural model:
a = 8.447 Å, b = 8.447 Å, c = 8.668 Å
α = 118.80°, β = 118.80°, γ = 60.17°
Sites, in units of the cell vectors:
Na: 0.065 0.935 0.500
Na: 0.328 0.817 0.247
Na: 0.817 0.328 0.747
Na: 0.935 0.065 0.000
Al: 0.158 0.672 0.804
Al: 0.466 0.965 0.690
Al: 0.672 0.158 0.304
Al: 0.965 0.466 0.190
P: 0.065 0.281 0.496
P: 0.281 0.065 0.996
P: 0.773 0.853 0.496
P: 0.853 0.773 0.996
S: 0.359 0.561 0.498
S: 0.561 0.359 0.998
O: 0.038 0.749 0.975
O: 0.039 0.303 0.317
O: 0.092 0.241 0.018
O: 0.094 0.455 0.667
O: 0.186 0.546 0.332
O: 0.241 0.092 0.518
O: 0.250 0.887 0.973
O: 0.303 0.039 0.817
O: 0.332 0.587 0.665
O: 0.381 0.735 0.516
O: 0.393 0.533 0.974
O: 0.455 0.094 0.167
O: 0.533 0.393 0.474
O: 0.546 0.186 0.832
O: 0.587 0.332 0.165
O: 0.592 0.883 0.522
O: 0.677 0.808 0.826
O: 0.735 0.381 0.016
O: 0.749 0.038 0.475
O: 0.808 0.677 0.326
O: 0.834 0.955 0.171
O: 0.883 0.592 0.022
O: 0.887 0.250 0.473
O: 0.955 0.834 0.671

The 12 most intense peaks (10 to 90 degrees two-theta), most intense first:
2θ (°)  d/Å  I_rel
24.4  3.651  100
32.6  2.746  67
24.5  3.634  47
32.7  2.735  36
29.5  3.031  21
24.7  3.600  21
14.6  6.058  20
50.0  1.825  18
36.8  2.443  16
54.0  1.698  13
33.4  2.682  11
20.5  4.330  10